No. 1
This entry pairs a crystal structure of NbGa2Ni7P2 with its simulated powder XRD pattern. Radiation: Cu Kα. Structure: a cell relaxed with GGA-PBE.
Lines closer than 0.1° are merged.

The 10 most intense peaks (2θ from 10° to 80°), in order of rising 2θ:
2θ 35.46, rel. 37, (0 2 1)
2θ 37.97, rel. 35, (0 2 2)
2θ 39.16, rel. 46, (2 0 -3)
2θ 40.40, rel. 35, (2 0 2)
2θ 41.90, rel. 86, (0 2 3)
2θ 43.50, rel. 34, (2 0 -4)
2θ 45.10, rel. 34, (2 0 3)
2θ 46.93, rel. 60, (0 0 6)
2θ 49.74, rel. 100, (2 2 -1)
2θ 72.92, rel. 38, (0 4 0)

a = 5.1935 Å, b = 5.1907 Å, c = 11.7445 Å
α = 90.00°, β = 98.37°, γ = 90.00°
Space group C2/m (No. 12)
Symmetry-distinct sites (fractional):
Nb1 0.0000 0.0000 0.0000
Ga1 0.1169 0.0000 0.3438
Ni1 0.0000 0.5000 0.0000
Ni2 0.1979 0.2507 0.8385
Ni3 0.2302 0.5000 0.4588
P1 0.0928 0.5000 0.2759

---

No. 2
This entry pairs a crystal structure of PmPr7Sm3 with its simulated powder XRD pattern. Radiation: Cu Kα. Structure: a cell relaxed with GGA-PBE.
Lines closer than 0.1° are merged.

The 10 most intense peaks (2θ from 10° to 80°), in order of rising 2θ:
2θ 24.43, rel. 17, (1 3 0)
2θ 27.54, rel. 11, (4 0 -1)
2θ 29.62, rel. 39, (2 0 -2)
2θ 31.05, rel. 31, (0 4 0)
2θ 31.69, rel. 100, (4 2 -1)
2θ 38.76, rel. 10, (3 3 -2)
2θ 43.45, rel. 25, (2 4 -2)
2θ 53.87, rel. 22, (6 2 -3)
2θ 60.49, rel. 19, (1 7 1)
2θ 65.07, rel. 9, (3 5 2)

a = 12.9896 Å, b = 11.5272 Å, c = 6.0323 Å
α = 90.00°, β = 117.60°, γ = 90.00°
Space group C2/m (No. 12)
Symmetry-distinct sites (fractional):
Pm1 0.0000 0.0000 0.0000
Pr1 0.0000 0.0000 0.5000
Pr2 0.1983 0.2954 0.1985
Pr3 0.2087 0.5000 0.7089
Sm1 0.0000 0.2942 0.5000
Sm2 0.0000 0.5000 0.0000

---

No. 3
This entry pairs a crystal structure of Tb2Ho2Pd3 with its simulated powder XRD pattern. Radiation: Cu Kα. Structure: a cell relaxed with GGA-PBE.
Lines closer than 0.1° are merged.

The 10 most intense peaks (2θ from 10° to 80°), in order of rising 2θ:
2θ 25.50, rel. 13, (1 1 -1)
2θ 36.36, rel. 100, (0 2 -1)
2θ 36.55, rel. 49, (1 1 -3)
2θ 52.38, rel. 18, (2 2 -2)
2θ 52.62, rel. 9, (0 0 4)
2θ 65.34, rel. 18, (1 3 0)
2θ 65.44, rel. 9, (1 -3 3)
2θ 65.59, rel. 9, (1 3 -4)
2θ 65.71, rel. 13, (3 1 -4)
2θ 77.19, rel. 8, (0 4 -2)

a = 4.9388 Å, b = 4.9428 Å, c = 7.7625 Å
α = 108.42°, β = 108.10°, γ = 90.08°
Space group P-1 (No. 2)
Symmetry-distinct sites (fractional):
Tb1 0.1315 0.1259 0.2504
Ho1 0.3700 0.3735 0.7485
Pd1 0.0000 0.5000 0.0000
Pd2 0.2528 0.7567 0.5133